Record 1
CsEuTa6Cl18: calculated powder X-ray diffraction pattern (Cu Kα), based on a cell relaxed with GGA-PBE.
Peak positions follow from Bragg's law for the DFT cell and can differ from measured ones.

```
data_CsEuTa6Cl18
_space_group_name_H-M_alt 'P -3 1 c'
_space_group_IT_number 163
_space_group_name_Hall '-P 3 2c'
_cell_length_a 9.4652
_cell_length_b 9.4652
_cell_length_c 17.6216
_cell_angle_alpha 90.00
_cell_angle_beta 90.00
_cell_angle_gamma 120.00
loop_
_atom_site_label
_atom_site_fract_x
_atom_site_fract_y
_atom_site_fract_z
Cs1 0.3333 0.6667 0.2500
Eu1 0.3333 0.6667 0.7500
Ta1 0.0374 0.1941 0.9325
Cl1 0.0434 0.2285 0.1586
Cl2 0.0732 0.4332 0.8448
Cl3 0.1398 0.4120 0.5000
```

The 12 most intense peaks (15° ≤ 2θ ≤ 90°), in order of falling intensity:
2theta	d [Å]	I (rel.)
35.42	2.534	100.0
42.45	2.130	83.3
43.41	2.085	46.3
21.31	4.169	44.7
28.82	3.098	44.0
39.43	2.285	35.6
34.36	2.610	32.3
27.66	3.225	28.7
50.83	1.796	27.7
44.86	2.020	25.2
38.72	2.326	24.1
22.92	3.880	23.9

---

Record 2
GdZrSb: calculated powder X-ray diffraction pattern (Cu Kα), based on a cell relaxed with GGA-PBE.
Peak positions follow from Bragg's law for the DFT cell and can differ from measured ones.

```
data_GdZrSb
_space_group_name_H-M_alt 'I 4/m m m'
_space_group_IT_number 139
_space_group_name_Hall '-I 4 2'
_cell_length_a 4.315
_cell_length_b 4.315
_cell_length_c 16.801
_cell_angle_alpha 90.00
_cell_angle_beta 90.00
_cell_angle_gamma 90.00
loop_
_atom_site_label
_atom_site_fract_x
_atom_site_fract_y
_atom_site_fract_z
Gd1 0.000 0.000 0.176
Zr1 0.000 0.500 0.000
Sb1 0.000 0.000 0.369
```

The 12 most intense peaks (15° ≤ 2θ ≤ 90°), in order of falling intensity:
2theta	d [Å]	I (rel.)
36.40	2.468	100.0
31.19	2.868	86.5
41.88	2.157	69.2
33.81	2.651	60.5
29.27	3.051	44.6
31.96	2.800	37.6
53.63	1.709	34.4
54.87	1.673	30.2
72.90	1.298	25.3
60.71	1.525	22.8
80.14	1.198	19.6
64.75	1.440	17.9

---

Record 3
BaY2ZnO5: calculated powder X-ray diffraction pattern (Cu Kα), based on a cell relaxed with GGA-PBE.
Peak positions follow from Bragg's law for the DFT cell and can differ from measured ones.

```
data_BaY2ZnO5
_space_group_name_H-M_alt 'P n m a'
_space_group_IT_number 62
_cell_length_a 12.463
_cell_length_b 5.772
_cell_length_c 7.171
_cell_angle_alpha 90.00
_cell_angle_beta 90.00
_cell_angle_gamma 90.00
loop_
_space_group_symop_operation_xyz
'x,y,z'
'-x,-y,-z'
'-x+1/2,-y,z+1/2'
'x+1/2,y,-z+1/2'
'x+1/2,-y+1/2,-z+1/2'
'-x+1/2,y+1/2,z+1/2'
'-x,y+1/2,-z'
'x,-y+1/2,z'
loop_
_atom_site_label
_atom_site_fract_x
_atom_site_fract_y
_atom_site_fract_z
Ba1 0.101 0.250 0.077
Y1 0.074 0.750 0.399
Y2 0.208 0.250 0.618
Zn1 0.150 0.750 0.808
O1 0.066 0.502 0.663
O2 0.100 0.750 0.074
O3 0.225 0.001 0.357
```

The 12 most intense peaks (15° ≤ 2θ ≤ 90°), in order of falling intensity:
2theta	d [Å]	I (rel.)
29.27	3.051	100.0
30.21	2.959	90.5
30.99	2.886	56.0
44.62	2.031	35.7
36.58	2.457	21.9
54.06	1.696	21.4
40.41	2.232	20.7
32.72	2.737	18.8
35.04	2.561	18.7
51.78	1.765	18.6
31.30	2.858	18.5
54.64	1.680	17.0

---

Record 4
P2S: calculated powder X-ray diffraction pattern (Cu Kα), based on a cell relaxed with GGA-PBE.
Peak positions follow from Bragg's law for the DFT cell and can differ from measured ones.

```
data_P2S
_space_group_name_H-M_alt 'I 41/a m d'
_space_group_IT_number 141
_cell_length_a 6.430
_cell_length_b 6.430
_cell_length_c 4.714
_cell_angle_alpha 90.00
_cell_angle_beta 90.00
_cell_angle_gamma 90.00
loop_
_space_group_symop_operation_xyz
'x,y,z'
'-x,-y,-z'
'-y+1/4,x+3/4,z+1/4'
'y+1/4,-x+3/4,-z+1/4'
'-x+1/2,-y,z+1/2'
'x+1/2,y,-z+1/2'
'y+1/4,-x+1/4,z+3/4'
'-y+1/4,x+1/4,-z+3/4'
'x,-y,-z'
'-x,y,z'
'-y+1/4,-x+1/4,-z+3/4'
'y+1/4,x+1/4,z+3/4'
'-x+1/2,y,-z+1/2'
'x+1/2,-y,z+1/2'
'y+1/4,x+3/4,-z+1/4'
'-y+1/4,-x+3/4,z+1/4'
'x+1/2,y+1/2,z+1/2'
'-x+1/2,-y+1/2,-z+1/2'
'-y+3/4,x+1/4,z+3/4'
'y+3/4,-x+1/4,-z+3/4'
'-x,-y+1/2,z'
'x,y+1/2,-z'
'y+3/4,-x+3/4,z+1/4'
'-y+3/4,x+3/4,-z+1/4'
'x+1/2,-y+1/2,-z+1/2'
'-x+1/2,y+1/2,z+1/2'
'-y+3/4,-x+3/4,-z+1/4'
'y+3/4,x+3/4,z+1/4'
'-x,y+1/2,-z'
'x,-y+1/2,z'
'y+3/4,x+1/4,-z+3/4'
'-y+3/4,-x+1/4,z+3/4'
loop_
_atom_site_label
_atom_site_fract_x
_atom_site_fract_y
_atom_site_fract_z
P1 0.000 0.000 0.000
S1 0.000 0.250 0.375
```

The 12 most intense peaks (15° ≤ 2θ ≤ 90°), in order of falling intensity:
2theta	d [Å]	I (rel.)
36.60	2.455	100.0
47.85	1.901	28.0
55.05	1.668	27.5
27.75	3.215	21.5
57.31	1.608	18.5
77.81	1.227	13.4
43.24	2.092	11.0
60.67	1.526	10.1
88.30	1.107	9.1
83.52	1.158	8.6
60.10	1.540	7.6
85.40	1.137	6.3

---

Record 5
LuTiSi: calculated powder X-ray diffraction pattern (Cu Kα), based on a cell relaxed with GGA-PBE.
Peak positions follow from Bragg's law for the DFT cell and can differ from measured ones.

```
data_LuTiSi
_space_group_name_H-M_alt 'P 4/n m m'
_space_group_IT_number 129
_cell_length_a 3.981
_cell_length_b 3.981
_cell_length_c 7.413
_cell_angle_alpha 90.00
_cell_angle_beta 90.00
_cell_angle_gamma 90.00
loop_
_space_group_symop_operation_xyz
'x,y,z'
'-x,-y,-z'
'-y+1/2,x,z'
'y+1/2,-x,-z'
'-x+1/2,-y+1/2,z'
'x+1/2,y+1/2,-z'
'y,-x+1/2,z'
'-y,x+1/2,-z'
'x+1/2,-y,-z'
'-x+1/2,y,z'
'-y,-x,-z'
'y,x,z'
'-x,y+1/2,-z'
'x,-y+1/2,z'
'y+1/2,x+1/2,-z'
'-y+1/2,-x+1/2,z'
loop_
_atom_site_label
_atom_site_fract_x
_atom_site_fract_y
_atom_site_fract_z
Lu1 0.250 0.250 0.156
Ti1 0.250 0.750 0.500
Si1 0.250 0.250 0.746
```

The 12 most intense peaks (15° ≤ 2θ ≤ 90°), in order of falling intensity:
2theta	d [Å]	I (rel.)
33.02	2.713	100.0
25.39	3.508	96.9
34.07	2.632	72.4
31.78	2.815	50.3
45.57	1.991	48.0
59.67	1.550	45.6
40.23	2.242	44.3
57.41	1.605	41.8
36.36	2.471	34.1
52.88	1.731	27.6
85.16	1.139	20.9
67.40	1.389	19.3

---

Record 6
WSeS: calculated powder X-ray diffraction pattern (Cu Kα), based on a cell relaxed with GGA-PBE.
Peak positions follow from Bragg's law for the DFT cell and can differ from measured ones.

```
data_WSeS
_space_group_name_H-M_alt 'P -3 m 1'
_space_group_IT_number 164
_space_group_name_Hall '-P 3 2"'
_cell_length_a 3.2543
_cell_length_b 3.2543
_cell_length_c 36.8940
_cell_angle_alpha 90.00
_cell_angle_beta 90.00
_cell_angle_gamma 120.00
loop_
_atom_site_label
_atom_site_fract_x
_atom_site_fract_y
_atom_site_fract_z
W1 0.3333 0.6667 0.0939
W2 0.3333 0.6667 0.7182
Se1 0.3333 0.6667 0.2356
Se2 0.3333 0.6667 0.3281
S1 0.3333 0.6667 0.8641
S2 0.3333 0.6667 0.9480
```

The 12 most intense peaks (15° ≤ 2θ ≤ 90°), in order of falling intensity:
2theta	d [Å]	I (rel.)
37.40	2.405	100.0
45.35	2.000	57.6
31.76	2.817	39.9
56.57	1.627	29.7
32.60	2.747	24.2
34.05	2.633	23.8
47.22	1.925	19.4
58.05	1.589	19.3
32.13	2.786	18.1
40.27	2.240	16.8
69.79	1.348	16.1
80.45	1.194	15.5

---

Record 7
Li4Cu3O6: calculated powder X-ray diffraction pattern (Cu Kα), based on a cell relaxed with GGA-PBE.
Peak positions follow from Bragg's law for the DFT cell and can differ from measured ones.

```
data_Li4Cu3O6
_space_group_name_H-M_alt 'C 1 2/m 1'
_space_group_IT_number 12
_cell_length_a 10.115
_cell_length_b 8.329
_cell_length_c 7.353
_cell_angle_alpha 90.00
_cell_angle_beta 117.25
_cell_angle_gamma 90.00
loop_
_space_group_symop_operation_xyz
'x,y,z'
'-x,-y,-z'
'-x,y,-z'
'x,-y,z'
'x+1/2,y+1/2,z'
'-x+1/2,-y+1/2,-z'
'-x+1/2,y+1/2,-z'
'x+1/2,-y+1/2,z'
loop_
_atom_site_label
_atom_site_fract_x
_atom_site_fract_y
_atom_site_fract_z
Li1 0.000 0.185 0.000
Li2 0.137 0.000 0.359
Li3 0.139 0.338 0.367
Cu1 0.153 0.165 0.757
Cu2 0.155 0.500 0.769
O1 0.065 0.326 0.836
O2 0.066 0.000 0.842
O3 0.227 0.000 0.654
O4 0.239 0.332 0.675
```

The 12 most intense peaks (15° ≤ 2θ ≤ 90°), in order of falling intensity:
2theta	d [Å]	I (rel.)
18.12	4.896	100.0
27.28	3.269	76.9
28.80	3.100	75.9
44.49	2.036	70.0
57.11	1.613	25.7
40.85	2.209	21.7
19.75	4.496	20.0
60.61	1.528	18.6
34.74	2.583	18.6
59.63	1.551	15.5
36.69	2.449	15.3
38.30	2.350	13.7